No. 1
This entry pairs a crystal structure of SiBO3 with its theoretical X-ray diffraction stick pattern. Radiation: Cu Kα (λ = 1.5418 Å). Structure: a cell relaxed with PBE.

Crystal structure
```
data_SiBO3
_chemical_formula_sum 'Si1 B1 O3'
_space_group_name_H-M_alt 'P m -3 m'
_space_group_IT_number 221
_space_group_name_Hall '-P 4 2 3'
_cell_length_a 3.5027
_cell_length_b 3.5027
_cell_length_c 3.5027
_cell_angle_alpha 90.00
_cell_angle_beta 90.00
_cell_angle_gamma 90.00
loop_
_atom_site_label
_atom_site_type_symbol
_atom_site_fract_x
_atom_site_fract_y
_atom_site_fract_z
Si1 Si 0.0000 0.0000 0.0000
B1 B 0.5000 0.5000 0.5000
O1 O 0.0000 0.0000 0.5000
```

Main lines, most intense first (10° ≤ 2θ ≤ 90°):
2θ/deg	I/Imax	(hkl)
25.4	100	1 0 0
52.2	56	2 0 0
59.0	31	2 1 0
77.0	29	2 2 0
36.3	21	1 1 0
82.6	13	3 0 0
44.8	12	1 1 1
65.2	9	2 1 1
88.2	5	3 1 0

***

No. 2
This entry pairs a crystal structure of SiBO3 with its theoretical X-ray diffraction stick pattern. Radiation: Cu Kα (λ = 1.5418 Å). Structure: a cell relaxed with PBE.

Crystal structure
```
data_SiBO3
_chemical_formula_sum 'Si1 B1 O3'
_space_group_name_H-M_alt 'P m -3 m'
_space_group_IT_number 221
_space_group_name_Hall '-P 4 2 3'
_cell_length_a 3.3363
_cell_length_b 3.3363
_cell_length_c 3.3363
_cell_angle_alpha 90.00
_cell_angle_beta 90.00
_cell_angle_gamma 90.00
loop_
_atom_site_label
_atom_site_type_symbol
_atom_site_fract_x
_atom_site_fract_y
_atom_site_fract_z
Si1 Si 0.0000 0.0000 0.0000
B1 B 0.5000 0.5000 0.5000
O1 O 0.0000 0.5000 0.5000
```

Main lines, most intense first (10° ≤ 2θ ≤ 90°):
2θ/deg	I/Imax	(hkl)
47.2	100	1 1 1
55.1	63	2 0 0
81.6	33	2 2 0
38.1	25	1 1 0
68.9	11	2 1 1
62.2	2	2 1 0
87.8	2	3 0 0
26.7	1	1 0 0

***

No. 3
This entry pairs a crystal structure of Si2B2O5 with its theoretical X-ray diffraction stick pattern. Radiation: Cu Kα (λ = 1.5418 Å). Structure: a cell relaxed with PBE.

Crystal structure
```
data_Si2B2O5
_chemical_formula_sum 'Si2 B2 O5'
_space_group_name_H-M_alt 'P 4/m m m'
_space_group_IT_number 123
_space_group_name_Hall '-P 4 2'
_cell_length_a 3.4050
_cell_length_b 3.4050
_cell_length_c 6.8042
_cell_angle_alpha 90.00
_cell_angle_beta 90.00
_cell_angle_gamma 90.00
loop_
_atom_site_label
_atom_site_type_symbol
_atom_site_fract_x
_atom_site_fract_y
_atom_site_fract_z
Si1 Si 0.0000 0.0000 0.0000
Si2 Si 0.0000 0.0000 0.5000
B1 B 0.5000 0.5000 0.2119
O1 O 0.0000 0.5000 0.2680
O2 O 0.5000 0.5000 0.0000
```

Main lines, most intense first (10° ≤ 2θ ≤ 90°):
2θ/deg	I/Imax	(hkl)
46.2	100	1 1 2
53.9	63	2 0 0
37.4	43	1 0 2
79.7	32	2 2 0
67.4	16	2 1 2
29.3	12	1 0 1
13.0	11	0 0 1
39.7	10	0 0 3
26.2	10	1 0 0
60.9	7	1 0 4

***

No. 4
This entry pairs a crystal structure of SrSi2B2O8 with its theoretical X-ray diffraction stick pattern. Radiation: Cu Kα (λ = 1.5418 Å). Structure: a cell relaxed with PBE.

Crystal structure
```
data_SrSi2B2O8
_chemical_formula_sum 'Sr4 Si8 B8 O32'
_space_group_name_H-M_alt 'P n m a'
_space_group_IT_number 62
_cell_length_a 8.2878
_cell_length_b 7.9862
_cell_length_c 9.0323
_cell_angle_alpha 90.00
_cell_angle_beta 90.00
_cell_angle_gamma 90.00
loop_
_space_group_symop_operation_xyz
'x,y,z'
'-x,-y,-z'
'-x+1/2,-y,z+1/2'
'x+1/2,y,-z+1/2'
'x+1/2,-y+1/2,-z+1/2'
'-x+1/2,y+1/2,z+1/2'
'-x,y+1/2,-z'
'x,-y+1/2,z'
loop_
_atom_site_label
_atom_site_type_symbol
_atom_site_fract_x
_atom_site_fract_y
_atom_site_fract_z
Sr1 Sr 0.1083 0.2500 0.0764
Si1 Si 0.0625 0.0577 0.6907
B1 B 0.2327 0.0815 0.4146
O1 O 0.0032 0.7500 0.3261
O2 O 0.0895 0.0719 0.3188
O3 O 0.1361 0.0343 0.8584
O4 O 0.1981 0.0134 0.5653
O5 O 0.1991 0.7500 0.9145
```

Main lines, most intense first (10° ≤ 2θ ≤ 90°):
2θ/deg	I/Imax	(hkl)
24.2	100	2 1 0
25.1	75	1 1 2
26.7	71	1 2 1
31.8	58	0 1 3
32.7	42	2 2 1
35.8	31	3 1 1
51.8	29	1 0 5
45.4	29	0 4 0
43.5	29	2 2 3
45.2	29	2 3 2